Diffraction record for Ho3MgCdIn3Ag. The PXRD pattern is simulated, not measured: it uses DFT lattice parameters and positions (PBE) and λ = 1.5418 Å (Cu Kα).
Peak positions follow from Bragg's law for the DFT cell and can differ from measured ones.

Main lines, in order of falling intensity (2θ from 15° to 90°):
- d = 2.798 Å, rel. 100, (1 1 1)
- d = 2.597 Å, rel. 56, (2 0 1)
- d = 2.331 Å, rel. 44, (3 0 0)
- d = 2.643 Å, rel. 35, (1 2 0)
- d = 1.940 Å, rel. 28, (0 0 2)
- d = 1.482 Å, rel. 27, (3 2 1)

Structural model:
Unit cell a=8.074 b=8.074 c=3.880 alpha=90.00 beta=90.00 gamma=120.00
Fractional coordinates of all 9 atoms:
Ho 0.004 0.391 0.000
Ho 0.387 0.996 0.000
Ho 0.609 0.613 0.000
Mg 0.667 0.333 0.500
Cd 0.333 0.667 0.500
In 0.272 0.263 0.500
In 0.737 0.009 0.500
In 0.991 0.728 0.500
Ag 0.000 0.000 0.000